Starting from a PBE-relaxed structure, the powder XRD pattern of Pr2Ga4Co3 was calculated for Cu Kα X-rays.
Lines closer than 0.1° are merged.

Peak list (10 most intense, 2θ = 5–70°, low angle first)
- d 3.186, 28.00 deg, I 24
- d 2.687, 33.35 deg, I 35
- d 2.640, 33.96 deg, I 59
- d 2.331, 38.63 deg, I 17
- d 2.279, 39.55 deg, I 100
- d 2.237, 40.33 deg, I 19
- d 2.054, 44.08 deg, I 42
- d 1.510, 61.42 deg, I 19
- d 1.459, 63.78 deg, I 24
- d 1.350, 69.65 deg, I 17

Crystal structure
```
Pr2Ga4Co3
1.0
0.0000 4.6836 6.3729
2.6871 0.0000 6.3729
2.6871 4.6836 0.0000
Pr Ga Co
2 4 3
Direct
0.1273 0.1273 0.8727
0.8727 0.8727 0.1273
0.1791 0.5221 0.4779
0.4779 0.8209 0.1791
0.5221 0.1791 0.8209
0.8209 0.4779 0.5221
0.0000 0.0000 0.5000
0.5000 0.5000 0.0000
0.5000 0.5000 0.5000
```